Record 1
Structure and theoretical X-ray powder pattern of Ca2MgIn6Cu (a crystal structure in Alexandria, relaxed with PBE; copper Kα).
No peak broadening, texture or thermal motion is included.

Top 8 peaks for 2θ = 10–80°, low angle first:
- 14.1 deg, I = 50, hkl 0 0 6
- 18.7 deg, I = 39, hkl 0 1 5
- 22.0 deg, I = 33, hkl 1 0 7
- 29.9 deg, I = 27, hkl 0 1 11
- 31.5 deg, I = 84, hkl 2 0 5
- 33.7 deg, I = 100, hkl 0 2 7
- 39.2 deg, I = 47, hkl 1 2 2
- 51.7 deg, I = 38, hkl 2 2 0

Cell and atoms:
abc: 7.0778 7.0778 37.6744
angles: 90.00 90.00 120.00
Space group R-3m (No. 166, hexagonal axes)
Asymmetric unit:
Ca: 0.0000 0.0000 0.1052 x6
Ca: 0.0000 0.0000 0.2781 x6
Mg: 0.0000 0.0000 0.4259 x6
In: 0.0385 0.5192 0.3014 x18
In: 0.0568 0.5284 0.8638 x18
Cu: 0.0000 0.0000 0.0000 x3
Cu: 0.0000 0.0000 0.5000 x3

=====

Record 2
Structure and theoretical X-ray powder pattern of CaZr2InCu (a crystal structure in Alexandria, relaxed with PBE; copper Kα).
No peak broadening, texture or thermal motion is included.

Top 8 peaks for 2θ = 10–80°, low angle first:
- 15.6 deg, I = 69, hkl 0 0 1
- 22.9 deg, I = 63, hkl 1 0 1
- 28.4 deg, I = 60, hkl 1 1 1
- 31.6 deg, I = 59, hkl 0 0 2
- 33.5 deg, I = 100, hkl 2 0 0
- 46.7 deg, I = 76, hkl 2 0 2
- 48.1 deg, I = 39, hkl 2 2 0
- 58.7 deg, I = 37, hkl 2 2 2

Cell and atoms:
abc: 5.350 5.350 5.663
angles: 90.00 90.00 90.00
Space group P4/mmm (No. 123)
Asymmetric unit:
Ca: 0.000 0.000 0.000 x1
Zr: 0.000 0.500 0.500 x2
In: 0.000 0.000 0.500 x1
Cu: 0.500 0.500 0.000 x1

=====

Record 3
Structure and theoretical X-ray powder pattern of Ca2Cu2Ir (a crystal structure in Alexandria, relaxed with PBE; copper Kα).
No peak broadening, texture or thermal motion is included.

Top 8 peaks for 2θ = 10–80°, low angle first:
- 19.2 deg, I = 100, hkl 1 1 0
- 20.1 deg, I = 44, hkl 2 0 0
- 23.2 deg, I = 63, hkl 1 1 1
- 34.8 deg, I = 62, hkl 0 2 1
- 36.8 deg, I = 57, hkl 1 1 -3
- 37.7 deg, I = 40, hkl 3 1 -2
- 38.5 deg, I = 44, hkl 3 1 1
- 41.7 deg, I = 67, hkl 2 2 1

Cell and atoms:
abc: 9.024 5.445 8.240
angles: 90.00 102.14 90.00
Space group C2/c (No. 15)
Asymmetric unit:
Ca: 0.152 0.127 0.157 x8
Cu: 0.127 0.374 0.501 x8
Ir: 0.000 0.364 0.750 x4